Structure and theoretical PXRD pattern of InFe3Si5 (the PBE geometry in OQMD; Cu Kα (weighted mean of Kα1 and Kα2)).
Lines closer than 0.1° are merged.

Structural model:
Cell: 4.9535 4.9535 6.0591 Å, 90.00 90.00 120.00°
Fractional coordinates of all 9 atoms:
In: 0.0000 0.0000 0.0000
Fe: 0.0000 0.5000 0.5000
Fe: 0.5000 0.0000 0.5000
Fe: 0.5000 0.5000 0.5000
Si: 0.0000 0.0000 0.5000
Si: 0.3333 0.6667 0.1960
Si: 0.3333 0.6667 0.8040
Si: 0.6667 0.3333 0.1960
Si: 0.6667 0.3333 0.8040

Largest 10 diffraction maxima, sorted by position, 15° ≤ 2θ ≤ 90°:
2θ 25.44, rel. 92.3
2θ 29.48, rel. 35.7
2θ 36.29, rel. 83.3
2θ 39.30, rel. 61.3
2θ 42.13, rel. 51.2
2θ 44.84, rel. 20.2
2θ 49.91, rel. 33.3
2θ 52.26, rel. 100.0
2θ 65.27, rel. 23.7
2θ 77.04, rel. 42.6

=====

Structure and theoretical PXRD pattern of PrGaGeO5 (the PBE geometry in OQMD; Cu Kα (weighted mean of Kα1 and Kα2)).
Lines closer than 0.1° are merged.

Structural model:
Cell: 5.5789 5.7417 6.9445 Å, 105.60 99.83 107.46°
Fractional coordinates of all 16 atoms:
Pr: 0.1528 0.3115 0.2822
Pr: 0.8472 0.6885 0.7178
Ga: 0.5000 0.0000 0.0000
Ga: 0.5000 0.0000 0.5000
Ge: 0.1935 0.3342 0.7696
Ge: 0.8065 0.6658 0.2304
O: 0.0917 0.7533 0.4398
O: 0.1898 0.1261 0.9154
O: 0.2237 0.6422 0.9274
O: 0.4340 0.3335 0.6328
O: 0.4355 0.0843 0.2616
O: 0.5645 0.9157 0.7384
O: 0.5660 0.6665 0.3672
O: 0.7763 0.3578 0.0726
O: 0.8102 0.8739 0.0846
O: 0.9083 0.2467 0.5602

Largest 10 diffraction maxima, sorted by position, 15° ≤ 2θ ≤ 90°:
2θ 28.45, rel. 67.0
2θ 28.72, rel. 100.0
2θ 32.74, rel. 64.5
2θ 32.92, rel. 59.0
2θ 33.16, rel. 52.0
2θ 36.52, rel. 24.5
2θ 37.68, rel. 21.1
2θ 43.86, rel. 23.4
2θ 53.38, rel. 21.5
2θ 53.72, rel. 21.6

=====

Structure and theoretical PXRD pattern of K2AgSb (the PBE geometry in OQMD; Cu Kα (weighted mean of Kα1 and Kα2)).
Lines closer than 0.1° are merged.

Structural model:
Cell: 6.7200 6.7200 6.3260 Å, 90.00 90.00 103.18°
Fractional coordinates of all 8 atoms:
K: 0.0251 0.6792 0.5027
K: 0.3208 0.9749 0.9973
K: 0.6792 0.0251 0.4973
K: 0.9749 0.3208 0.0027
Ag: 0.4993 0.5007 0.7500
Ag: 0.5007 0.4993 0.2500
Sb: 0.2336 0.2336 0.5000
Sb: 0.7664 0.7664 0.0000

Largest 10 diffraction maxima, sorted by position, 15° ≤ 2θ ≤ 90°:
2θ 16.84, rel. 100.0
2θ 19.52, rel. 65.1
2θ 27.56, rel. 40.2
2θ 31.04, rel. 90.3
2θ 31.41, rel. 55.8
2θ 33.29, rel. 37.3
2θ 35.61, rel. 58.2
2θ 39.63, rel. 63.6
2θ 46.80, rel. 32.9
2θ 50.09, rel. 33.1

=====

Structure and theoretical PXRD pattern of Zr2SnPt (the PBE geometry in OQMD; Cu Kα (weighted mean of Kα1 and Kα2)).
Lines closer than 0.1° are merged.

Structural model:
Cell: 4.8680 4.8680 4.8680 Å, 60.00 60.00 60.00°
Fractional coordinates of all 4 atoms:
Zr: 0.0000 0.0000 0.0000
Zr: 0.2500 0.2500 0.2500
Sn: 0.5000 0.5000 0.5000
Pt: 0.7500 0.7500 0.7500

Largest 10 diffraction maxima, sorted by position, 15° ≤ 2θ ≤ 90°:
2θ 22.37, rel. 9.4
2θ 25.88, rel. 2.4
2θ 36.93, rel. 100.0
2θ 43.60, rel. 5.5
2θ 53.22, rel. 17.5
2θ 58.43, rel. 2.5
2θ 66.54, rel. 35.8
2θ 71.16, rel. 1.9
2θ 78.61, rel. 11.2
2θ 82.98, rel. 2.0